Starting from DFT lattice parameters and positions (PBE), the X-ray powder pattern of Na2ZnH4Se2O10 was calculated for Cu Kα, 1.54184 Å.
Neutral-atom scattering factors, no anomalous dispersion.

Lattice parameters (Å, degrees): 5.6930 5.9923 7.3493 108.46 99.08 107.61
Space group P-1 (No. 2)
Unique sites:
Na  0.1612  0.2889  0.2491 x2
Zn  0.5000  0.0000  0.5000 x1
H  0.3572  0.8733  0.1135 x2
H  0.4216  0.8498  0.7974 x2
Se  0.1674  0.3377  0.7404 x2
O  0.1075  0.7566  0.4398 x2
O  0.1484  0.1671  0.8793 x2
O  0.2235  0.6433  0.8765 x2
O  0.4047  0.3363  0.6280 x2
O  0.4293  0.0387  0.2302 x2

Principal peaks in the range 2θ = 10–90°, by angle:
2θ (°), Rel. int., h k l
13.23, 38, 0 0 1
16.92, 100, 0 1 -1
24.16, 65, -1 1 1
24.43, 64, 1 0 1
25.42, 57, 0 1 -2
26.64, 26, 0 0 2
27.34, 28, 1 0 -2
28.28, 83, 1 1 0
31.37, 28, 1 -1 2
31.79, 62, 1 -2 0
32.10, 53, 2 -1 0
33.23, 34, 2 0 -1